[1]
# CaGa4Ni6
Simulated X-ray powder pattern, Cu Kα X-rays. Input: a crystal structure in Alexandria, relaxed with PBE.
Peak positions follow from Bragg's law for the DFT cell and can differ from measured ones.

The 8 most intense peaks (2θ from 10° to 80°), most intense first:
d [Å]	two_theta	I_rel
2.340	38.5	1000
1.934	47.0	978
2.250	40.1	402
5.953	14.9	400
1.894	48.0	382
1.718	53.3	267
2.545	35.3	254
1.758	52.0	221

Cell lengths 6.873, 6.873, 3.788 Å; angles 90.00, 90.00, 120.00 degrees
Fractional coordinates of all 11 atoms:
Ca 0.000 0.000 0.000
Ga 0.198 0.396 0.500
Ga 0.198 0.802 0.500
Ga 0.604 0.802 0.500
Ga 0.667 0.333 0.000
Ni 0.069 0.535 0.000
Ni 0.415 0.208 0.500
Ni 0.465 0.535 0.000
Ni 0.465 0.931 0.000
Ni 0.792 0.208 0.500
Ni 0.792 0.585 0.500

***

[2]
# MgSiB
Simulated X-ray powder pattern, Cu Kα X-rays. Input: a crystal structure in Alexandria, relaxed with PBE.
Peak positions follow from Bragg's law for the DFT cell and can differ from measured ones.

The 8 most intense peaks (2θ from 10° to 80°), most intense first:
d [Å]	two_theta	I_rel
2.691	33.3	1000
2.143	42.2	703
2.665	33.6	486
1.715	53.4	396
2.176	41.5	368
2.087	43.4	329
1.711	53.5	197
1.345	69.9	147

Cell lengths 3.430, 3.430, 4.655 Å; angles 112.58, 112.58, 59.85 degrees
Fractional coordinates of all 3 atoms:
Mg 0.000 0.000 0.000
Si 0.501 0.501 0.508
B 0.200 0.200 0.600

***

[3]
# TmP2Pt7Pb2
Simulated X-ray powder pattern, Cu Kα X-rays. Input: a crystal structure in Alexandria, relaxed with PBE.
Peak positions follow from Bragg's law for the DFT cell and can differ from measured ones.

The 8 most intense peaks (2θ from 10° to 80°), most intense first:
d [Å]	two_theta	I_rel
2.455	36.6	1000
1.989	45.6	708
2.057	44.0	561
2.766	32.4	520
2.636	34.0	439
7.542	11.7	338
3.771	23.6	325
2.256	40.0	301

Cell lengths 15.343, 15.343, 15.343 Å; angles 165.10, 165.10, 21.13 degrees
Fractional coordinates of all 12 atoms:
Tm 0.000 0.000 0.000
P 0.385 0.385 0.000
P 0.615 0.615 0.000
Pt 0.072 0.572 0.500
Pt 0.309 0.309 0.000
Pt 0.428 0.928 0.500
Pt 0.500 0.500 0.000
Pt 0.572 0.072 0.500
Pt 0.691 0.691 0.000
Pt 0.928 0.428 0.500
Pb 0.211 0.211 0.000
Pb 0.789 0.789 0.000

***

Copy entry 1 word for word.
# CaGa4Ni6
Simulated X-ray powder pattern, Cu Kα X-rays. Input: a crystal structure in Alexandria, relaxed with PBE.
Peak positions follow from Bragg's law for the DFT cell and can differ from measured ones.

The 8 most intense peaks (2θ from 10° to 80°), most intense first:
d [Å]	two_theta	I_rel
2.340	38.5	1000
1.934	47.0	978
2.250	40.1	402
5.953	14.9	400
1.894	48.0	382
1.718	53.3	267
2.545	35.3	254
1.758	52.0	221

Cell lengths 6.873, 6.873, 3.788 Å; angles 90.00, 90.00, 120.00 degrees
Fractional coordinates of all 11 atoms:
Ca 0.000 0.000 0.000
Ga 0.198 0.396 0.500
Ga 0.198 0.802 0.500
Ga 0.604 0.802 0.500
Ga 0.667 0.333 0.000
Ni 0.069 0.535 0.000
Ni 0.415 0.208 0.500
Ni 0.465 0.535 0.000
Ni 0.465 0.931 0.000
Ni 0.792 0.208 0.500
Ni 0.792 0.585 0.500